Structure and theoretical X-ray powder pattern of Li3TiV3O8 (a crystal structure in Alexandria, relaxed with PBE+U; Cu Kα (weighted mean of Kα1 and Kα2)).

Peak list (8 most intense, 5 to 70 degrees two-theta, by intensity)
2theta	d_spacing	I/Imax
23.04	3.859	100.0
13.96	6.345	92.2
28.14	3.171	75.3
44.35	2.043	70.9
15.06	5.884	68.8
44.05	2.056	66.2
31.67	2.825	65.6
42.75	2.115	58.5

```
data_Li3TiV3O8
_symmetry_space_group_name_H-M 'P 1'
_symmetry_Int_Tables_number 1
_cell_length_a 6.497
_cell_length_b 6.497
_cell_length_c 6.650
_cell_angle_alpha 106.52
_cell_angle_beta 106.52
_cell_angle_gamma 36.65
loop_
_symmetry_equiv_pos_as_xyz
'x,y,z'
loop_
_atom_site_label
_atom_site_fract_x
_atom_site_fract_y
_atom_site_fract_z
Li1 0.000 0.000 0.000
Li2 0.115 0.115 0.644
Li3 0.237 0.237 0.363
Ti1 0.879 0.879 0.290
V1 0.465 0.465 0.704
V2 0.565 0.565 0.305
V3 0.784 0.784 0.694
O1 0.053 0.053 0.320
O2 0.293 0.293 0.675
O3 0.402 0.402 0.352
O4 0.526 0.526 0.002
O5 0.615 0.615 0.633
O6 0.740 0.740 0.358
O7 0.836 0.836 0.017
O8 0.949 0.949 0.677
```